For Li3V3B2O10, a crystal structure in the Materials Project, relaxed with GGA+U gives the computed powder XRD pattern in this record (a wavelength of 1.5418 Å).

Cell and atoms:
Unit cell a=3.065 b=9.118 c=12.390 alpha=90.00 beta=90.00 gamma=90.00
Space group Pmc2_1 (No. 26)
One atom of each set of equivalent atoms:
Li: 0.000 0.016 0.000 x2
Li: 0.000 0.243 0.603 x2
Li: 0.500 0.235 0.106 x2
V: 0.000 0.487 0.217 x2
V: 0.500 0.240 0.397 x2
V: 0.500 0.240 0.824 x2
B: 0.000 0.033 0.241 x2
B: 0.000 0.473 0.967 x2
O: 0.000 0.095 0.146 x2
O: 0.000 0.114 0.339 x2
O: 0.000 0.125 0.755 x2
O: 0.000 0.374 0.454 x2
O: 0.000 0.391 0.867 x2
O: 0.000 0.405 0.062 x2
O: 0.500 0.148 0.519 x2
O: 0.500 0.157 0.947 x2
O: 0.500 0.358 0.263 x2
O: 0.500 0.367 0.691 x2

The 10 most intense peaks (15 to 90 degrees two-theta), in order of falling intensity:
d/Å	I_rel	index
2.543	100	1 2 0
3.672	79	0 2 2
2.038	36	1 3 2
2.562	33	0 2 4
2.178	32	0 2 5
3.762	29	0 1 3
2.747	27	1 0 2
2.353	27	1 2 2
1.512	26	1 1 7
1.575	25	1 4 4